Diffraction record for ZnCu3Ni4O12. The powder diffractogram is calculated, not measured: it uses a cell relaxed with PBE+U and Cu Kα X-rays.
Lines closer than 0.1° are merged.

Cell and atoms:
a = 6.2732 Å, b = 6.2732 Å, c = 6.2732 Å
α = 109.47°, β = 109.47°, γ = 109.47°
Fractional positions:
Zn 0.0000 0.0000 0.0000
Cu 0.0000 0.5000 0.5000
Cu 0.5000 0.0000 0.5000
Cu 0.5000 0.5000 0.0000
Ni 0.0000 0.0000 0.5000
Ni 0.0000 0.5000 0.0000
Ni 0.5000 0.0000 0.0000
Ni 0.5000 0.5000 0.5000
O 0.1386 0.3079 0.8307
O 0.1693 0.4772 0.3079
O 0.1693 0.8614 0.6921
O 0.3079 0.1693 0.4772
O 0.3079 0.8307 0.1386
O 0.4772 0.3079 0.1693
O 0.5228 0.6921 0.8307
O 0.6921 0.1693 0.8614
O 0.6921 0.8307 0.5228
O 0.8307 0.1386 0.3079
O 0.8307 0.5228 0.6921
O 0.8614 0.6921 0.1693

Peak list (8 most intense, 15° ≤ 2θ ≤ 90°, by angle)
- 2θ 35.04, I 100
- 2θ 39.33, I 5
- 2θ 43.27, I 1
- 2θ 46.93, I 3
- 2θ 50.39, I 25
- 2θ 62.85, I 47
- 2θ 74.03, I 11
- 2θ 84.61, I 16